For TlH6O2F2, DFT lattice parameters and positions (GGA-PBE) gives the computed powder XRD pattern in this record (Cu Kα X-rays).
Intensities are scaled so that the largest is 100.

Most intense lines, 2θ from 5° to 70°, in order of rising 2θ:
index, two_theta, intensity
0 0 1, 16.09, 66
0 1 0, 17.52, 57
0 1 -1, 17.83, 59
1 -1 0, 23.12, 100
1 0 -1, 25.68, 37
1 -1 1, 26.19, 35
0 1 1, 28.73, 43
0 1 -2, 29.31, 33
0 2 -1, 31.75, 40
1 -2 1, 32.54, 45

Crystal structure
a = 4.159 Å, b = 6.001 Å, c = 6.137 Å
α = 113.96°, β = 91.24°, γ = 110.04°
Space group P-1 (No. 2)
Symmetry-distinct sites (fractional):
1 Tl 0.000 0.000 0.000 [1 per cell]
2 H 0.145 0.666 0.336 [2 per cell]
3 H 0.382 0.757 0.157 [2 per cell]
4 H 0.392 0.321 0.632 [2 per cell]
5 O 0.333 0.637 0.238 [2 per cell]
6 F 0.150 0.289 0.526 [2 per cell]



For ZnH8O4F2, DFT lattice parameters and positions (GGA-PBE) gives the computed powder XRD pattern in this record (Cu Kα X-rays).
Intensities are scaled so that the largest is 100.

Most intense lines, 2θ from 5° to 70°, in order of rising 2θ:
index, two_theta, intensity
1 1 0, 18.06, 49
2 0 1, 18.35, 100
1 1 1, 21.63, 61
4 0 0, 28.22, 36
1 1 2, 29.99, 51
2 1 2, 32.45, 18
0 2 2, 41.58, 21
6 0 1, 44.65, 22
4 2 2, 51.01, 18
2 2 3, 52.23, 25

Crystal structure
a = 12.651 Å, b = 5.330 Å, c = 7.496 Å
α = 90.00°, β = 90.00°, γ = 90.00°
Space group Pca2_1 (No. 29)
Symmetry-distinct sites (fractional):
1 Zn 0.124 0.198 0.000 [4 per cell]
2 H 0.018 0.480 0.243 [4 per cell]
3 H 0.077 0.935 0.385 [4 per cell]
4 H 0.078 0.946 0.599 [4 per cell]
5 H 0.121 0.631 0.185 [4 per cell]
6 H 0.137 0.753 0.822 [4 per cell]
7 H 0.173 0.370 0.402 [4 per cell]
8 H 0.175 0.377 0.615 [4 per cell]
9 H 0.232 0.931 0.759 [4 per cell]
10 O 0.031 0.935 0.493 [4 per cell]
11 O 0.095 0.456 0.210 [4 per cell]
12 O 0.156 0.932 0.797 [4 per cell]
13 O 0.218 0.337 0.508 [4 per cell]
14 F 0.100 0.463 0.797 [4 per cell]
15 F 0.151 0.926 0.199 [4 per cell]



For ZrH6O2F6, DFT lattice parameters and positions (GGA-PBE) gives the computed powder XRD pattern in this record (Cu Kα X-rays).
Intensities are scaled so that the largest is 100.

Most intense lines, 2θ from 5° to 70°, in order of rising 2θ:
index, two_theta, intensity
0 2 0, 13.86, 36
1 1 0, 14.85, 100
0 2 1, 19.81, 20
1 3 0, 24.72, 13
2 0 0, 26.44, 11
1 1 -2, 27.08, 42
3 1 0, 40.76, 12
1 5 -2, 44.30, 10
2 4 1, 45.21, 12
3 3 0, 45.60, 14

Crystal structure
a = 7.335 Å, b = 12.780 Å, c = 6.838 Å
α = 90.00°, β = 113.17°, γ = 90.00°
Space group C2/c (No. 15)
Symmetry-distinct sites (fractional):
1 Zr 0.000 0.047 0.250 [4 per cell]
2 H 0.089 0.320 0.570 [8 per cell]
3 H 0.111 0.267 0.125 [8 per cell]
4 H 0.119 0.395 0.051 [8 per cell]
5 O 0.061 0.321 0.005 [8 per cell]
6 F 0.021 0.090 0.560 [8 per cell]
7 F 0.186 0.185 0.301 [8 per cell]
8 F 0.210 0.496 0.107 [8 per cell]



For ZrH6O3F4, DFT lattice parameters and positions (GGA-PBE) gives the computed powder XRD pattern in this record (Cu Kα X-rays).
Intensities are scaled so that the largest is 100.

Most intense lines, 2θ from 5° to 70°, in order of rising 2θ:
index, two_theta, intensity
0 1 0, 14.51, 70
1 0 0, 16.50, 64
0 1 1, 17.61, 100
1 1 1, 18.41, 73
1 0 1, 18.56, 49
0 1 -1, 20.24, 46
1 1 -1, 24.40, 69
1 -1 0, 25.62, 28
0 1 -2, 30.27, 28
0 3 2, 48.08, 26

Crystal structure
a = 5.934 Å, b = 6.684 Å, c = 7.612 Å
α = 77.10°, β = 75.09°, γ = 67.28°
Space group P-1 (No. 2)
Symmetry-distinct sites (fractional):
1 Zr 0.117 0.151 0.283 [2 per cell]
2 H 0.195 0.784 0.979 [2 per cell]
3 H 0.231 0.548 0.936 [2 per cell]
4 H 0.261 0.441 0.434 [2 per cell]
5 H 0.358 0.062 0.678 [2 per cell]
6 H 0.391 0.158 0.843 [2 per cell]
7 H 0.495 0.332 0.273 [2 per cell]
8 O 0.218 0.700 0.877 [2 per cell]
9 O 0.325 0.339 0.340 [2 per cell]
10 O 0.479 0.071 0.740 [2 per cell]
11 F 0.148 0.593 0.596 [2 per cell]
12 F 0.164 0.908 0.141 [2 per cell]
13 F 0.165 0.007 0.562 [2 per cell]
14 F 0.252 0.295 0.023 [2 per cell]